The following is a calculated powder XRD pattern of Rb2ScSiBr6. It was derived from the GGA-PBE geometry in Alexandria, using Cu Kα (weighted mean of Kα1 and Kα2).
Lines closer than 0.1° are merged.

Largest 10 diffraction maxima, low angle first, 2θ = 5–70°:
21.9°, I 5
27.5°, I 100
28.9°, I 31
33.2°, I 50
44.6°, I 36
47.6°, I 17
50.4°, I 12
55.9°, I 27
56.7°, I 17
69.6°, I 6

Lattice parameters (Å, degrees): 8.2035 8.2035 8.2035 124.51 124.51 82.34
Sites, in units of the cell vectors:
Rb 0.2500 0.7500 0.5000
Rb 0.7500 0.2500 0.5000
Sc 0.0000 0.0000 0.0000
Si 0.5000 0.5000 0.0000
Br 0.2154 0.2154 0.0000
Br 0.2480 0.2480 0.4959
Br 0.2480 0.7520 0.0000
Br 0.7520 0.2480 0.0000
Br 0.7520 0.7520 0.5041
Br 0.7846 0.7846 0.0000

=====

The following is a calculated powder XRD pattern of RbYScBr6. It was derived from the GGA-PBE geometry in Alexandria, using Cu Kα (weighted mean of Kα1 and Kα2).
Lines closer than 0.1° are merged.

Largest 10 diffraction maxima, low angle first, 2θ = 5–70°:
11.2°, I 32
18.2°, I 51
27.4°, I 100
33.8°, I 84
40.3°, I 18
42.6°, I 24
44.0°, I 37
52.6°, I 12
52.9°, I 15
56.6°, I 22

Lattice parameters (Å, degrees): 7.1289 7.1289 15.8552 90.00 90.00 120.00
Sites, in units of the cell vectors:
Rb 0.0000 0.0000 0.0000
Rb 0.0000 0.0000 0.5000
Y 0.3333 0.6667 0.2500
Y 0.6667 0.3333 0.7500
Sc 0.3333 0.6667 0.7500
Sc 0.6667 0.3333 0.2500
Br 0.0084 0.3696 0.6473
Br 0.0084 0.6389 0.8527
Br 0.3611 0.3696 0.8527
Br 0.3611 0.9916 0.6473
Br 0.3696 0.0084 0.1473
Br 0.3696 0.3611 0.3527
Br 0.6304 0.6389 0.6473
Br 0.6304 0.9916 0.8527
Br 0.6389 0.0084 0.3527
Br 0.6389 0.6304 0.1473
Br 0.9916 0.3611 0.1473
Br 0.9916 0.6304 0.3527

=====

The following is a calculated powder XRD pattern of RbSeBr5. It was derived from the GGA-PBE geometry in Alexandria, using Cu Kα (weighted mean of Kα1 and Kα2).
Lines closer than 0.1° are merged.

Largest 10 diffraction maxima, low angle first, 2θ = 5–70°:
15.5°, I 42
16.2°, I 100
16.9°, I 44
21.2°, I 59
23.5°, I 78
31.2°, I 90
32.6°, I 48
35.2°, I 60
38.5°, I 47
55.1°, I 57

Lattice parameters (Å, degrees): 7.6843 7.6843 7.6843 113.77 88.84 128.10
Sites, in units of the cell vectors:
Rb 0.0000 0.0000 0.0000
Se 0.5126 0.0126 0.5000
Br 0.1456 0.6456 0.5000
Br 0.5039 0.2041 0.2998
Br 0.5116 0.3233 0.8117
Br 0.5116 0.6999 0.1883
Br 0.9044 0.2041 0.7002

=====

The following is a calculated powder XRD pattern of Rb3Se2Br8. It was derived from the GGA-PBE geometry in Alexandria, using Cu Kα (weighted mean of Kα1 and Kα2).
Lines closer than 0.1° are merged.

Largest 10 diffraction maxima, low angle first, 2θ = 5–70°:
23.6°, I 85
25.1°, I 39
25.6°, I 40
27.9°, I 100
29.6°, I 44
30.9°, I 67
31.7°, I 78
42.1°, I 39
46.8°, I 56
48.2°, I 64

Lattice parameters (Å, degrees): 11.3116 11.3116 11.3116 38.98 38.98 38.98
Sites, in units of the cell vectors:
Rb 0.0000 0.0000 0.0000
Rb 0.2049 0.2049 0.2049
Rb 0.7951 0.7951 0.7951
Se 0.3965 0.3965 0.3965
Se 0.6035 0.6035 0.6035
Br 0.1963 0.7466 0.7466
Br 0.2534 0.2534 0.8037
Br 0.2534 0.8037 0.2534
Br 0.3157 0.3157 0.3157
Br 0.6843 0.6843 0.6843
Br 0.7466 0.1963 0.7466
Br 0.7466 0.7466 0.1963
Br 0.8037 0.2534 0.2534

=====

The following is a calculated powder XRD pattern of Rb6Sm3Br14. It was derived from the GGA-PBE geometry in Alexandria, using Cu Kα (weighted mean of Kα1 and Kα2).
Lines closer than 0.1° are merged.

Largest 10 diffraction maxima, low angle first, 2θ = 5–70°:
14.2°, I 47
14.5°, I 53
20.4°, I 51
25.1°, I 100
27.9°, I 57
28.7°, I 68
29.3°, I 54
39.0°, I 47
41.8°, I 32
47.1°, I 45

Lattice parameters (Å, degrees): 12.1826 12.1826 7.7102 90.00 90.00 120.00
Sites, in units of the cell vectors:
Rb 0.0255 0.5541 0.0000
Rb 0.2893 0.0930 0.5326
Rb 0.4459 0.4714 0.0000
Rb 0.5286 0.9745 0.0000
Rb 0.8037 0.7107 0.5326
Rb 0.9070 0.1963 0.5326
Sm 0.0000 0.0000 0.9717
Sm 0.3333 0.6667 0.4402
Sm 0.6667 0.3333 0.3461
Br 0.0000 0.0000 0.3345
Br 0.0802 0.8474 0.8097
Br 0.1526 0.2328 0.8097
Br 0.1907 0.4327 0.2850
Br 0.2420 0.8093 0.2850
Br 0.3333 0.6667 0.8029
Br 0.4432 0.1976 0.1319
Br 0.5267 0.4183 0.5570
Br 0.5673 0.7580 0.2850
Br 0.5817 0.1084 0.5570
Br 0.7543 0.5568 0.1319
Br 0.7672 0.9198 0.8097
Br 0.8024 0.2457 0.1319
Br 0.8916 0.4733 0.5570

=====

The following is a calculated powder XRD pattern of RbSmSn2Br8. It was derived from the GGA-PBE geometry in Alexandria, using Cu Kα (weighted mean of Kα1 and Kα2).
Lines closer than 0.1° are merged.

Largest 10 diffraction maxima, low angle first, 2θ = 5–70°:
17.4°, I 100
18.0°, I 85
22.4°, I 47
27.2°, I 48
28.0°, I 49
33.1°, I 52
34.8°, I 47
35.0°, I 50
35.2°, I 77
38.0°, I 53

Lattice parameters (Å, degrees): 6.8675 7.3562 9.4971 86.01 87.68 87.74
Sites, in units of the cell vectors:
Rb 0.0000 0.0000 0.0000
Sm 0.0000 0.0000 0.5000
Sn 0.4875 0.4831 0.2487
Sn 0.5125 0.5169 0.7513
Br 0.2360 0.3222 0.4711
Br 0.2372 0.8315 0.2874
Br 0.2572 0.8557 0.7158
Br 0.2709 0.3761 0.0365
Br 0.7291 0.6239 0.9635
Br 0.7428 0.1443 0.2842
Br 0.7628 0.1685 0.7126
Br 0.7640 0.6778 0.5289

=====

The following is a calculated powder XRD pattern of Rb2Sn4Br9. It was derived from the GGA-PBE geometry in Alexandria, using Cu Kα (weighted mean of Kα1 and Kα2).
Lines closer than 0.1° are merged.

Largest 10 diffraction maxima, low angle first, 2θ = 5–70°:
14.6°, I 47
14.9°, I 53
24.9°, I 91
25.6°, I 67
31.2°, I 100
31.7°, I 58
33.0°, I 59
38.9°, I 47
39.9°, I 56
40.2°, I 48

Lattice parameters (Å, degrees): 7.7610 7.9179 23.4880 88.37 85.17 61.25
Sites, in units of the cell vectors:
Rb 0.0009 0.0029 0.3468
Rb 0.0485 0.9961 0.8543
Rb 0.9515 0.0039 0.1457
Rb 0.9991 0.9971 0.6532
Sn 0.2789 0.3471 0.1835
Sn 0.3260 0.3440 0.4974
Sn 0.3349 0.3259 0.0009
Sn 0.3732 0.2554 0.6776
Sn 0.6268 0.7446 0.3224
Sn 0.6651 0.6741 0.9991
Sn 0.6740 0.6560 0.5026
Sn 0.7211 0.6529 0.8165
Br 0.0154 0.5808 0.0856
Br 0.0180 0.6383 0.4349
Br 0.0443 0.6530 0.7581
Br 0.2552 0.6583 0.2356
Br 0.3514 0.0145 0.0727
Br 0.3597 0.5872 0.5786
Br 0.3933 0.9866 0.4183
Br 0.4001 0.6408 0.9305
Br 0.4048 0.9307 0.7401
Br 0.5952 0.0693 0.2599
Br 0.5999 0.3592 0.0695
Br 0.6067 0.0134 0.5817
Br 0.6403 0.4128 0.4214
Br 0.6486 0.9855 0.9273
Br 0.7448 0.3417 0.7644
Br 0.9557 0.3470 0.2419
Br 0.9820 0.3617 0.5651
Br 0.9846 0.4192 0.9144

=====

The following is a calculated powder XRD pattern of RbSn4Br8. It was derived from the GGA-PBE geometry in Alexandria, using Cu Kα (weighted mean of Kα1 and Kα2).
Lines closer than 0.1° are merged.

Largest 10 diffraction maxima, low angle first, 2θ = 5–70°:
11.7°, I 80
22.4°, I 47
27.1°, I 100
35.5°, I 59
38.8°, I 96
40.6°, I 21
47.9°, I 22
49.5°, I 20
63.3°, I 23
68.0°, I 16

Lattice parameters (Å, degrees): 9.2949 9.2949 9.2949 60.00 60.00 60.00
Sites, in units of the cell vectors:
Rb 0.0000 0.0000 0.0000
Sn 0.1353 0.6216 0.6216
Sn 0.6216 0.1353 0.6216
Sn 0.6216 0.6216 0.1353
Sn 0.6216 0.6216 0.6216
Br 0.3905 0.3905 0.3905
Br 0.3905 0.3905 0.8286
Br 0.3905 0.8286 0.3905
Br 0.4326 0.8558 0.8558
Br 0.8286 0.3905 0.3905
Br 0.8558 0.4326 0.8558
Br 0.8558 0.8558 0.4326
Br 0.8558 0.8558 0.8558

=====

The following is a calculated powder XRD pattern of RbSn5Br11. It was derived from the GGA-PBE geometry in Alexandria, using Cu Kα (weighted mean of Kα1 and Kα2).
Lines closer than 0.1° are merged.

Largest 10 diffraction maxima, low angle first, 2θ = 5–70°:
12.7°, I 100
20.5°, I 24
22.8°, I 25
29.7°, I 85
29.9°, I 71
32.2°, I 56
38.1°, I 25
38.3°, I 25
39.1°, I 29
45.5°, I 27

Lattice parameters (Å, degrees): 9.2516 9.2516 9.4105 99.24 99.24 115.51
Sites, in units of the cell vectors:
Rb 0.0000 0.0000 0.0000
Sn 0.0609 0.3593 0.6537
Sn 0.3593 0.0609 0.6537
Sn 0.5000 0.5000 0.0000
Sn 0.6407 0.9391 0.3463
Sn 0.9391 0.6407 0.3463
Br 0.0000 0.0000 0.5000
Br 0.1396 0.7036 0.6805
Br 0.1419 0.4027 0.9672
Br 0.2964 0.8604 0.3195
Br 0.4027 0.1419 0.9672
Br 0.4096 0.4096 0.6616
Br 0.5904 0.5904 0.3384
Br 0.5973 0.8581 0.0328
Br 0.7036 0.1396 0.6805
Br 0.8581 0.5973 0.0328
Br 0.8604 0.2964 0.3195

=====

The following is a calculated powder XRD pattern of Rb4Sn3Br10. It was derived from the GGA-PBE geometry in Alexandria, using Cu Kα (weighted mean of Kα1 and Kα2).
Lines closer than 0.1° are merged.

Largest 10 diffraction maxima, low angle first, 2θ = 5–70°:
13.0°, I 25
15.2°, I 25
21.4°, I 30
27.7°, I 39
30.4°, I 100
30.7°, I 41
32.4°, I 23
43.6°, I 37
43.8°, I 58
54.2°, I 37

Lattice parameters (Å, degrees): 20.7951 20.7951 20.7951 163.75 163.75 23.06
Sites, in units of the cell vectors:
Rb 0.0668 0.0668 0.0000
Rb 0.1993 0.1993 0.0000
Rb 0.8007 0.8007 0.0000
Rb 0.9332 0.9332 0.0000
Sn 0.3533 0.3533 0.0000
Sn 0.5000 0.5000 0.0000
Sn 0.6467 0.6467 0.0000
Br 0.0000 0.5000 0.5000
Br 0.1444 0.6444 0.5000
Br 0.2833 0.2833 0.0000
Br 0.3556 0.8556 0.5000
Br 0.4282 0.4282 0.0000
Br 0.5000 0.0000 0.5000
Br 0.5718 0.5718 0.0000
Br 0.6444 0.1444 0.5000
Br 0.7167 0.7167 0.0000
Br 0.8556 0.3556 0.5000

=====

The following is a calculated powder XRD pattern of Rb3SnBr7. It was derived from the GGA-PBE geometry in Alexandria, using Cu Kα (weighted mean of Kα1 and Kα2).
Lines closer than 0.1° are merged.

Largest 10 diffraction maxima, low angle first, 2θ = 5–70°:
10.7°, I 34
12.1°, I 54
19.7°, I 35
24.4°, I 90
27.7°, I 29
28.5°, I 100
29.4°, I 56
31.3°, I 40
37.1°, I 30
39.0°, I 47

Lattice parameters (Å, degrees): 7.4275 7.4275 8.5548 99.78 99.78 92.86
Sites, in units of the cell vectors:
Rb 0.0000 0.0000 0.0000
Rb 0.2561 0.7028 0.4494
Rb 0.7028 0.2561 0.4494
Sn 0.5161 0.5161 0.9593
Br 0.0984 0.0984 0.4028
Br 0.1856 0.5457 0.7957
Br 0.3571 0.3571 0.1629
Br 0.4987 0.8455 0.1340
Br 0.5457 0.1856 0.7957
Br 0.6666 0.6666 0.7386
Br 0.8455 0.4987 0.1340

=====

The following is a calculated powder XRD pattern of RbSnBr5. It was derived from the GGA-PBE geometry in Alexandria, using Cu Kα (weighted mean of Kα1 and Kα2).
Lines closer than 0.1° are merged.

Largest 10 diffraction maxima, low angle first, 2θ = 5–70°:
18.5°, I 100
20.1°, I 22
21.5°, I 25
23.2°, I 17
28.1°, I 31
32.4°, I 24
33.3°, I 19
37.6°, I 58
37.7°, I 26
50.4°, I 17

Lattice parameters (Å, degrees): 9.6561 9.6561 9.5607 119.50 119.50 83.81
Sites, in units of the cell vectors:
Rb 0.0000 0.5000 0.0000
Rb 0.5000 0.0000 0.5000
Sn 0.1498 0.8502 0.7500
Sn 0.8502 0.1498 0.2500
Br 0.1538 0.2323 0.4419
Br 0.2323 0.1538 0.9419
Br 0.2605 0.7390 0.5308
Br 0.2610 0.7395 0.9692
Br 0.4019 0.5981 0.2500
Br 0.5981 0.4019 0.7500
Br 0.7390 0.2605 0.0308
Br 0.7395 0.2610 0.4692
Br 0.7677 0.8462 0.0581
Br 0.8462 0.7677 0.5581